# DyErMg17
Theoretical X-ray diffraction stick pattern, a wavelength of 1.5418 Å. Input: a crystal structure in Alexandria, relaxed with PBE.
Neutral-atom scattering factors, no anomalous dispersion.

Top 8 peaks for 2θ = 10–90°, low angle first:
hkl  2theta  I_rel
0 1 2  15.4  20
0 0 3  17.4  45
1 1 3  24.7  56
3 0 0  30.4  34
0 2 4  31.0  18
2 2 0  35.2  100
2 0 5  35.8  21
2 2 6  50.7  32

Cell and atoms:
```
data_DyErMg17
_cell_length_a 10.1990
_cell_length_b 10.1990
_cell_length_c 15.2279
_cell_angle_alpha 90.00
_cell_angle_beta 90.00
_cell_angle_gamma 120.00
_symmetry_space_group_name_H-M 'R 3 m'
_symmetry_Int_Tables_number 160
_symmetry_space_group_name_Hall 'R 3 -2"'
loop_
_atom_site_label
_atom_site_type_symbol
_atom_site_fract_x
_atom_site_fract_y
_atom_site_fract_z
Dy1 Dy 0.0000 0.0000 0.0000
Er1 Er 0.0000 0.0000 0.3438
Mg1 Mg 0.0000 0.0000 0.5718
Mg2 Mg 0.0000 0.0000 0.7706
Mg3 Mg 0.0076 0.5038 0.8228
Mg4 Mg 0.0283 0.3611 0.3385
Mg5 Mg 0.1677 0.3354 0.5056
Mg6 Mg 0.1720 0.3440 0.8538
```

# Ac3Sm2N4
Theoretical X-ray diffraction stick pattern, a wavelength of 1.5418 Å. Input: a crystal structure in Alexandria, relaxed with PBE.
Neutral-atom scattering factors, no anomalous dispersion.

Top 8 peaks for 2θ = 10–90°, low angle first:
hkl  2theta  I_rel
0 0 5  28.0  30
1 1 -1  28.1  28
2 0 -2  29.8  100
2 0 3  32.4  45
1 1 -4  35.7  47
3 1 0  48.7  35
1 1 7  48.9  34
3 1 5  57.1  30

Cell and atoms:
```
data_Ac3Sm2N4
_cell_length_a 6.482
_cell_length_b 3.742
_cell_length_c 15.948
_cell_angle_alpha 90.00
_cell_angle_beta 90.04
_cell_angle_gamma 90.00
_symmetry_space_group_name_H-M 'C 1 2/m 1'
_symmetry_Int_Tables_number 12
_symmetry_space_group_name_Hall '-C 2y'
loop_
_atom_site_label
_atom_site_type_symbol
_atom_site_fract_x
_atom_site_fract_y
_atom_site_fract_z
Ac1 Ac 0.000 0.000 0.000
Ac2 Ac 0.166 0.500 0.624
Sm1 Sm 0.167 0.500 0.188
N1 N 0.001 0.000 0.292
N2 N 0.166 0.500 0.891
```

# Rb2BaV2S7
Theoretical X-ray diffraction stick pattern, a wavelength of 1.5418 Å. Input: a crystal structure in Alexandria, relaxed with PBE.
Neutral-atom scattering factors, no anomalous dispersion.

Top 8 peaks for 2θ = 10–90°, low angle first:
hkl  2theta  I_rel
0 1 2  16.3  32
0 1 5  21.5  100
1 0 7  26.2  37
1 1 0  26.4  88
1 1 6  32.3  89
2 0 5  34.3  29
1 1 12  45.9  31
3 0 0  46.7  45

Cell and atoms:
```
data_Rb2BaV2S7
_cell_length_a 6.7435
_cell_length_b 6.7435
_cell_length_c 29.2988
_cell_angle_alpha 90.00
_cell_angle_beta 90.00
_cell_angle_gamma 120.00
_symmetry_space_group_name_H-M 'R 3 2'
_symmetry_Int_Tables_number 155
_symmetry_space_group_name_Hall 'R 3 2"'
loop_
_atom_site_label
_atom_site_type_symbol
_atom_site_fract_x
_atom_site_fract_y
_atom_site_fract_z
Rb1 Rb 0.0000 0.0000 0.1747
Ba1 Ba 0.0000 0.0000 0.0000
V1 V 0.0000 0.0000 0.4246
S1 S 0.0000 0.0000 0.5000
S2 S 0.0125 0.3098 0.4043
```

# Sr3In2Bi4
Theoretical X-ray diffraction stick pattern, a wavelength of 1.5418 Å. Input: a crystal structure in Alexandria, relaxed with PBE.
Neutral-atom scattering factors, no anomalous dispersion.

Top 8 peaks for 2θ = 10–90°, low angle first:
hkl  2theta  I_rel
0 3 1  23.1  79
2 0 0  24.2  58
0 5 1  30.5  100
2 2 1  31.8  31
2 3 1  33.7  53
0 0 2  35.8  48
0 7 1  39.3  52
2 0 2  43.7  42

Cell and atoms:
```
data_Sr3In2Bi4
_cell_length_a 7.361
_cell_length_b 18.025
_cell_length_c 5.013
_cell_angle_alpha 90.00
_cell_angle_beta 90.00
_cell_angle_gamma 90.00
_symmetry_space_group_name_H-M 'P n n m'
_symmetry_Int_Tables_number 58
_symmetry_space_group_name_Hall '-P 2 2n'
loop_
_atom_site_label
_atom_site_type_symbol
_atom_site_fract_x
_atom_site_fract_y
_atom_site_fract_z
Sr1 Sr 0.000 0.000 0.000
Sr2 Sr 0.193 0.303 0.500
In1 In 0.146 0.588 0.000
Bi1 Bi 0.213 0.171 0.000
Bi2 Bi 0.243 0.926 0.500
```

# Th8ReIr3Se4
Theoretical X-ray diffraction stick pattern, a wavelength of 1.5418 Å. Input: a crystal structure in Alexandria, relaxed with PBE.
Neutral-atom scattering factors, no anomalous dispersion.

Top 8 peaks for 2θ = 10–90°, low angle first:
hkl  2theta  I_rel
0 0 3  12.0  22
0 2 4  29.7  100
0 2 7  38.0  11
2 0 8  41.3  35
2 2 0  43.7  37
4 0 4  53.8  20
2 2 12  68.2  12
2 4 4  71.7  17

Cell and atoms:
```
data_Th8ReIr3Se4
_cell_length_a 8.2791
_cell_length_b 8.2791
_cell_length_c 22.0549
_cell_angle_alpha 90.00
_cell_angle_beta 90.00
_cell_angle_gamma 120.00
_symmetry_space_group_name_H-M 'R -3 m'
_symmetry_Int_Tables_number 166
_symmetry_space_group_name_Hall '-R 3 2"'
loop_
_atom_site_label
_atom_site_type_symbol
_atom_site_fract_x
_atom_site_fract_y
_atom_site_fract_z
Th1 Th 0.0000 0.0000 0.2381
Th2 Th 0.0042 0.5021 0.2387
Re1 Re 0.0000 0.0000 0.5000
Ir1 Ir 0.0000 0.5000 0.5000
Se1 Se 0.0000 0.0000 0.0000
Se2 Se 0.0000 0.5000 0.0000
```

Repeat the third record exactly.
# Rb2BaV2S7
Theoretical X-ray diffraction stick pattern, a wavelength of 1.5418 Å. Input: a crystal structure in Alexandria, relaxed with PBE.
Neutral-atom scattering factors, no anomalous dispersion.

Top 8 peaks for 2θ = 10–90°, low angle first:
hkl  2theta  I_rel
0 1 2  16.3  32
0 1 5  21.5  100
1 0 7  26.2  37
1 1 0  26.4  88
1 1 6  32.3  89
2 0 5  34.3  29
1 1 12  45.9  31
3 0 0  46.7  45

Cell and atoms:
```
data_Rb2BaV2S7
_cell_length_a 6.7435
_cell_length_b 6.7435
_cell_length_c 29.2988
_cell_angle_alpha 90.00
_cell_angle_beta 90.00
_cell_angle_gamma 120.00
_symmetry_space_group_name_H-M 'R 3 2'
_symmetry_Int_Tables_number 155
_symmetry_space_group_name_Hall 'R 3 2"'
loop_
_atom_site_label
_atom_site_type_symbol
_atom_site_fract_x
_atom_site_fract_y
_atom_site_fract_z
Rb1 Rb 0.0000 0.0000 0.1747
Ba1 Ba 0.0000 0.0000 0.0000
V1 V 0.0000 0.0000 0.4246
S1 S 0.0000 0.0000 0.5000
S2 S 0.0125 0.3098 0.4043
```